The following is a theoretical XRD peak list of Na2ZrGaP3O12. It was derived from a crystal structure in the Materials Project, relaxed with GGA-PBE, using λ = 1.5418 Å (Cu Kα).

Peak list (10 most intense, 10° ≤ 2θ ≤ 80°, low angle first)
- hkl 2 0 0, 6.384 Å, I 286
- hkl 1 1 1, 4.552 Å, I 1000
- hkl 3 1 -1, 4.439 Å, I 649
- hkl 0 2 0, 4.401 Å, I 407
- hkl 3 1 -2, 3.825 Å, I 680
- hkl 0 2 1, 3.801 Å, I 339
- hkl 2 2 -2, 3.164 Å, I 455
- hkl 3 1 1, 2.879 Å, I 645
- hkl 3 1 -3, 2.866 Å, I 950
- hkl 3 3 -1, 2.548 Å, I 441

Crystal structure
Lattice parameters (Å, degrees): 15.420 8.802 9.109 90.00 124.11 90.00
Space group Cc (No. 9)
Symmetry-distinct sites (fractional):
Na 0.000 0.113 0.000 [4 per cell]
Na 0.246 0.251 0.241 [4 per cell]
Zr 0.392 0.245 0.694 [4 per cell]
Ga 0.104 0.255 0.808 [4 per cell]
P 0.007 0.457 0.011 [4 per cell]
P 0.142 0.098 0.503 [4 per cell]
P 0.353 0.387 0.013 [4 per cell]
O 0.046 0.168 0.332 [4 per cell]
O 0.073 0.443 0.675 [4 per cell]
O 0.079 0.351 0.989 [4 per cell]
O 0.137 0.126 0.666 [4 per cell]
O 0.144 0.076 0.985 [4 per cell]
O 0.239 0.171 0.520 [4 per cell]
O 0.255 0.317 0.987 [4 per cell]
O 0.352 0.435 0.524 [4 per cell]
O 0.360 0.365 0.850 [4 per cell]
O 0.430 0.149 0.523 [4 per cell]
O 0.435 0.054 0.844 [4 per cell]
O 0.452 0.324 0.183 [4 per cell]

***

The following is a theoretical XRD peak list of Rh3Se8. It was derived from a crystal structure in the Materials Project, relaxed with GGA-PBE, using λ = 1.5418 Å (Cu Kα).

Peak list (10 most intense, 10° ≤ 2θ ≤ 80°, low angle first)
- hkl 1 0 0, 5.431 Å, I 277
- hkl 0 2 0, 3.030 Å, I 805
- hkl 2 0 0, 2.724 Å, I 372
- hkl 1 2 -1, 2.711 Å, I 1000
- hkl 2 1 0, 2.485 Å, I 304
- hkl 1 1 -5, 2.464 Å, I 781
- hkl 0 2 4, 2.142 Å, I 284
- hkl 1 1 5, 1.837 Å, I 234
- hkl 3 1 -1, 1.833 Å, I 232
- hkl 1 1 -7, 1.823 Å, I 441

Crystal structure
Lattice parameters (Å, degrees): 6.054 6.056 13.490 90.00 115.85 90.00
Space group P2_1/c (No. 14)
Symmetry-distinct sites (fractional):
Rh 0.000 0.000 0.000 [2 per cell]
Rh 0.243 0.007 0.749 [4 per cell]
Se 0.174 0.117 0.557 [4 per cell]
Se 0.189 0.116 0.310 [4 per cell]
Se 0.308 0.617 0.692 [4 per cell]
Se 0.327 0.615 0.441 [4 per cell]

***

The following is a theoretical XRD peak list of CsAgBr3. It was derived from a crystal structure in the Materials Project, relaxed with GGA-PBE, using λ = 1.5418 Å (Cu Kα).

Peak list (10 most intense, 10° ≤ 2θ ≤ 80°, low angle first)
- hkl 1 1 0, 3.884 Å, I 528
- hkl 1 1 1, 3.171 Å, I 574
- hkl 2 0 0, 2.747 Å, I 1000
- hkl 2 1 1, 2.243 Å, I 239
- hkl 2 2 0, 1.942 Å, I 710
- hkl 3 1 1, 1.656 Å, I 250
- hkl 2 2 2, 1.586 Å, I 243
- hkl 3 2 1, 1.468 Å, I 121
- hkl 4 0 0, 1.373 Å, I 112
- hkl 4 2 0, 1.228 Å, I 313

Crystal structure
Lattice parameters (Å, degrees): 5.493 5.493 5.493 90.00 90.00 90.00
Space group Pm-3m (No. 221)
Symmetry-distinct sites (fractional):
Cs 0.000 0.000 0.000 [1 per cell]
Ag 0.500 0.500 0.500 [1 per cell]
Br 0.000 0.500 0.500 [3 per cell]

***

The following is a theoretical XRD peak list of TaMnP. It was derived from a crystal structure in the Materials Project, relaxed with GGA-PBE, using λ = 1.5418 Å (Cu Kα).

Peak list (10 most intense, 10° ≤ 2θ ≤ 80°, low angle first)
- hkl 0 1 1, 3.248 Å, I 522
- hkl 2 0 0, 3.037 Å, I 256
- hkl 1 1 2, 2.337 Å, I 1000
- hkl 2 0 2, 2.293 Å, I 214
- hkl 2 1 1, 2.218 Å, I 875
- hkl 1 0 3, 2.177 Å, I 424
- hkl 0 2 0, 1.834 Å, I 260
- hkl 3 0 3, 1.528 Å, I 262
- hkl 1 2 3, 1.402 Å, I 232
- hkl 3 1 4, 1.245 Å, I 184

Crystal structure
Lattice parameters (Å, degrees): 6.075 3.667 6.994 90.00 90.00 90.00
Space group Pnma (No. 62)
Symmetry-distinct sites (fractional):
Ta 0.023 0.250 0.178 [4 per cell]
Mn 0.152 0.250 0.560 [4 per cell]
P 0.219 0.750 0.377 [4 per cell]

***

The following is a theoretical XRD peak list of Pu4Mn. It was derived from a crystal structure in the Materials Project, relaxed with GGA-PBE, using λ = 1.5418 Å (Cu Kα).

Peak list (10 most intense, 10° ≤ 2θ ≤ 80°, low angle first)
- hkl 1 1 1, 5.264 Å, I 332
- hkl 2 2 0, 3.224 Å, I 112
- hkl 2 2 2, 2.632 Å, I 1000
- hkl 4 0 0, 2.279 Å, I 369
- hkl 3 3 1, 2.092 Å, I 324
- hkl 3 3 3, 1.755 Å, I 521
- hkl 4 4 0, 1.612 Å, I 217
- hkl 4 4 2, 1.520 Å, I 121
- hkl 6 2 2, 1.375 Å, I 126
- hkl 5 5 1, 1.277 Å, I 231

Crystal structure
Lattice parameters (Å, degrees): 9.118 9.118 9.118 90.00 90.00 90.00
Space group Fd-3m (No. 227, origin choice 2)
Symmetry-distinct sites (fractional):
Pu 0.027 0.027 0.223 [32 per cell]
Mn 0.125 0.125 0.625 [8 per cell]

***

The following is a theoretical XRD peak list of Sm9Ni26P12. It was derived from a crystal structure in the Materials Project, relaxed with GGA-PBE, using λ = 1.5418 Å (Cu Kα).

Peak list (10 most intense, 10° ≤ 2θ ≤ 80°, low angle first)
- hkl 3 1 1, 2.578 Å, I 250
- hkl 4 0 1, 2.426 Å, I 1000
- hkl 3 3 0, 2.396 Å, I 103
- hkl 4 1 1, 2.224 Å, I 155
- hkl 4 3 0, 2.047 Å, I 221
- hkl 0 0 2, 1.937 Å, I 252
- hkl 4 4 0, 1.797 Å, I 146
- hkl 7 0 1, 1.616 Å, I 195
- hkl 4 3 2, 1.407 Å, I 126
- hkl 4 4 2, 1.317 Å, I 237

Crystal structure
Lattice parameters (Å, degrees): 14.3769 14.3769 3.8733 90.00 90.00 120.00
Space group P-6m2 (No. 187)
Symmetry-distinct sites (fractional):
Sm 0.0479 0.5239 0.0000 [3 per cell]
Sm 0.0910 0.1820 0.5000 [3 per cell]
Sm 0.4811 0.2405 0.0000 [3 per cell]
Ni 0.0000 0.0000 0.0000 [1 per cell]
Ni 0.1210 0.4109 0.5000 [6 per cell]
Ni 0.2218 0.6109 0.5000 [3 per cell]
Ni 0.2667 0.5334 0.0000 [3 per cell]
Ni 0.2850 0.1425 0.5000 [3 per cell]
Ni 0.2874 0.0068 0.0000 [6 per cell]
Ni 0.5701 0.1401 0.5000 [3 per cell]
Ni 0.6667 0.3333 0.5000 [1 per cell]
P 0.1798 0.3596 0.0000 [3 per cell]
P 0.1845 0.0922 0.0000 [3 per cell]
P 0.3890 0.0595 0.5000 [6 per cell]